Calculated powder diffractogram
Compound: ThScIn3
Radiation: Cu Kα X-rays
Structure: a structure optimized by DFT (GGA-PBE)
Peak positions follow from Bragg's law for the DFT cell and can differ from measured ones.

Largest 6 diffraction maxima, sorted by position, 10° ≤ 2θ ≤ 80°:
- 2θ = 13.00°, 6.812 Å, I = 23
- 2θ = 27.90°, 3.198 Å, I = 30
- 2θ = 30.96°, 2.889 Å, I = 100
- 2θ = 38.65°, 2.330 Å, I = 45
- 2θ = 39.98°, 2.255 Å, I = 37
- 2θ = 67.03°, 1.396 Å, I = 22

Cell and atoms:
a b c (Å): 7.5215 7.5215 7.5215
angles (deg): 145.10 145.10 50.18
Fractional coordinates of all 5 atoms:
Th 0.0000 0.0000 0.0000
Sc 0.6506 0.6506 0.0000
In 0.2925 0.7925 0.5000
In 0.4461 0.4461 0.0000
In 0.7925 0.2925 0.5000